Entry 1:
Li2HoPaSe4: computed X-ray powder pattern (Cu Kα (λ = 1.5418 Å)), based on the GGA-PBE geometry in Alexandria.

Structure:
```
8
Lattice="6.978 0.000 0.000 0.000 3.992 0.000 -2.315 0.000 6.632" Properties=species:S:1:pos:R:3 pbc="T T T"
Li 0.000 0.000 0.000
Li -1.158 1.996 3.316
Ho 2.331 0.000 3.316
Pa 3.489 1.996 0.000
Se -0.056 0.000 4.919
Se 1.125 1.996 1.649
Se 3.537 1.996 4.982
Se 4.718 0.000 1.713
```

Peak list (10 most intense, 2θ from 5° to 70°, low angle first)
- 13.44°, I = 93
- 25.79°, I = 23
- 26.06°, I = 48
- 31.34°, I = 51
- 31.45°, I = 100
- 34.44°, I = 25
- 41.13°, I = 25
- 44.88°, I = 38
- 45.11°, I = 37
- 56.24°, I = 19

***

Entry 2:
LiHo4Pb5: computed X-ray powder pattern (Cu Kα (λ = 1.5418 Å)), based on the GGA-PBE geometry in Alexandria.

Structure:
```
10
Lattice="-4.783 4.783 3.156 4.783 -4.783 3.156 4.783 4.783 -3.156" Properties=species:S:1:pos:R:3 pbc="T T T"
Li 0.000 0.000 0.000
Ho 5.546 -1.787 1.273
Ho 4.021 1.787 1.273
Ho -1.787 4.021 1.273
Ho 1.787 5.546 1.273
Pb 2.497 -0.969 1.262
Pb 7.070 0.969 1.262
Pb 0.969 2.497 1.262
Pb 0.000 0.000 3.374
Pb -0.969 7.070 1.262
```

Peak list (10 most intense, 2θ from 5° to 70°, low angle first)
- 28.28°, I = 42
- 29.53°, I = 100
- 31.43°, I = 17
- 36.74°, I = 22
- 39.03°, I = 15
- 41.34°, I = 68
- 42.25°, I = 29
- 51.61°, I = 21
- 64.01°, I = 16
- 66.87°, I = 17

***

Entry 3:
Li2HoPb9: computed X-ray powder pattern (Cu Kα (λ = 1.5418 Å)), based on the GGA-PBE geometry in Alexandria.

Structure:
```
12
Lattice="4.795 0.000 0.000 0.000 4.795 0.000 0.000 0.000 14.901" Properties=species:S:1:pos:R:3 pbc="T T T"
Li 0.000 0.000 2.483
Li 0.000 0.000 12.418
Ho 0.000 0.000 7.450
Pb 0.000 2.398 0.000
Pb 0.000 2.398 4.909
Pb 0.000 2.398 9.992
Pb 2.398 0.000 0.000
Pb 2.398 0.000 4.909
Pb 2.398 0.000 9.992
Pb 2.398 2.398 2.443
Pb 2.398 2.398 7.450
Pb 2.398 2.398 12.457
```

Peak list (10 most intense, 2θ from 5° to 70°, low angle first)
- 18.50°, I = 9
- 25.83°, I = 8
- 31.96°, I = 100
- 36.17°, I = 18
- 37.51°, I = 33
- 53.09°, I = 24
- 54.10°, I = 12
- 62.42°, I = 15
- 64.22°, I = 28
- 66.81°, I = 12